This entry pairs a crystal structure of Mn2NbNi3P6O24 with its theoretical X-ray powder pattern. Radiation: Cu Kα (weighted mean of Kα1 and Kα2). Structure: a crystal structure in the Materials Project, relaxed with GGA+U.
Peak positions follow from Bragg's law for the DFT cell and can differ from measured ones.

Principal peaks in the range 2θ = 10–80°, sorted by position:
d_spacing, I_rel
4.355, 100
4.331, 23
3.706, 91
3.071, 16
2.741, 74
2.514, 52
1.939, 31
1.853, 29
1.646, 31
1.492, 21

Crystal structure
```
Mn2NbNi3P6O24
1.0
4.355 2.515 7.053
-4.355 2.515 7.053
0.000 -5.029 7.053
Mn Nb Ni P O
2 1 3 6 24
Direct
0.000 0.000 0.000
0.495 0.495 0.495
0.644 0.644 0.644
0.143 0.143 0.143
0.355 0.355 0.355
0.857 0.857 0.857
0.050 0.453 0.753
0.245 0.961 0.546
0.453 0.753 0.050
0.546 0.245 0.961
0.753 0.050 0.453
0.961 0.546 0.245
0.011 0.608 0.817
0.052 0.260 0.909
0.089 0.942 0.743
0.112 0.510 0.311
0.187 0.991 0.392
0.240 0.438 0.590
0.260 0.909 0.052
0.311 0.112 0.510
0.392 0.187 0.991
0.410 0.761 0.568
0.438 0.590 0.240
0.509 0.684 0.886
0.510 0.311 0.112
0.568 0.410 0.761
0.590 0.240 0.438
0.608 0.817 0.011
0.684 0.886 0.509
0.743 0.089 0.942
0.761 0.568 0.410
0.817 0.011 0.608
0.886 0.509 0.684
0.909 0.052 0.260
0.942 0.743 0.089
0.991 0.392 0.187
```